Record 1
This entry pairs a crystal structure of TiCr2S4 with its theoretical X-ray powder pattern. Radiation: Cu Kα (λ = 1.5418 Å). Structure: a cell relaxed with PBE.
No peak broadening, texture or thermal motion is included.

Structure:
Cell: 12.594 3.403 5.965 Å, 90.00 116.51 90.00°
Positions (direct):
Ti: 0.000 0.000 0.000
Ti: 0.500 0.500 0.000
Cr: 0.017 0.500 0.583
Cr: 0.252 0.000 0.290
Cr: 0.517 0.000 0.583
Cr: 0.752 0.500 0.290
S: 0.124 0.500 0.322
S: 0.142 0.000 0.838
S: 0.373 0.000 0.733
S: 0.389 0.500 0.272
S: 0.624 0.000 0.322
S: 0.642 0.500 0.838
S: 0.873 0.500 0.733
S: 0.889 0.000 0.272

Main lines, sorted by position (2θ = 10–90°):
2θ 15.73, I = 32; 2θ 17.03, I = 54; 2θ 30.24, I = 41; 2θ 34.04, I = 100; 2θ 34.47, I = 68; 2θ 43.52, I = 38; 2θ 44.07, I = 83; 2θ 44.77, I = 90; 2θ 44.94, I = 39; 2θ 46.68, I = 31; 2θ 53.38, I = 71; 2θ 53.88, I = 40

---

Record 2
This entry pairs a crystal structure of CrBr3 with its theoretical X-ray powder pattern. Radiation: Cu Kα (λ = 1.5418 Å). Structure: a cell relaxed with PBE.
No peak broadening, texture or thermal motion is included.

Structure:
Cell: 7.777 7.777 7.777 Å, 48.97 48.97 48.97°
Positions (direct):
Cr: 0.167 0.167 0.167
Cr: 0.833 0.833 0.833
Br: 0.071 0.788 0.430
Br: 0.212 0.570 0.929
Br: 0.430 0.071 0.788
Br: 0.570 0.929 0.212
Br: 0.788 0.430 0.071
Br: 0.929 0.212 0.570

Main lines, sorted by position (2θ = 10–90°):
2θ 12.96, I = 43; 2θ 16.46, I = 12; 2θ 26.10, I = 16; 2θ 30.67, I = 100; 2θ 38.41, I = 46; 2θ 48.97, I = 51; 2θ 56.31, I = 9; 2θ 58.88, I = 13; 2θ 61.46, I = 10; 2θ 63.87, I = 8; 2θ 80.01, I = 9; 2θ 88.89, I = 8